Entry 1:
Starting from a structure optimized by DFT (PBE), the powder XRD pattern of Al2AsPd8 was calculated for Cu Kα (λ = 1.5418 Å).

Crystal structure
Lattice parameters (Å, degrees): 7.823 7.823 5.703 106.44 106.44 30.64
Element x y z (fractional)
Al (0.184, 0.184, 0.210)
Al (0.816, 0.816, 0.790)
As (0.500, 0.500, 0.500)
Pd (0.026, 0.026, 0.268)
Pd (0.207, 0.207, 0.802)
Pd (0.340, 0.340, 0.539)
Pd (0.402, 0.402, 0.051)
Pd (0.598, 0.598, 0.949)
Pd (0.660, 0.660, 0.461)
Pd (0.793, 0.793, 0.198)
Pd (0.974, 0.974, 0.732)

Largest 6 diffraction maxima, by angle, 2θ = 10–90°:
35.66 deg, rel. 71.3
37.63 deg, rel. 94.4
38.03 deg, rel. 69.0
38.52 deg, rel. 100.0
41.66 deg, rel. 96.6
43.80 deg, rel. 99.8

=====

Entry 2:
Starting from a structure optimized by DFT (PBE), the powder XRD pattern of PmPbAu2 was calculated for Cu Kα (λ = 1.5418 Å).

Crystal structure
Lattice parameters (Å, degrees): 5.125 5.125 5.125 60.00 60.00 60.00
Element x y z (fractional)
Pm (0.000, 0.000, 0.000)
Pb (0.500, 0.500, 0.500)
Au (0.250, 0.250, 0.250)
Au (0.750, 0.750, 0.750)

Largest 6 diffraction maxima, by angle, 2θ = 10–90°:
21.23 deg, rel. 1.2
35.02 deg, rel. 100.0
50.36 deg, rel. 18.1
62.81 deg, rel. 37.6
73.99 deg, rel. 11.8
84.56 deg, rel. 17.2

=====

Entry 3:
Starting from a structure optimized by DFT (PBE), the powder XRD pattern of NdSc2Ga2 was calculated for Cu Kα (λ = 1.5418 Å).

Crystal structure
Lattice parameters (Å, degrees): 5.089 4.262 11.082 90.00 94.69 90.00
Element x y z (fractional)
Nd (0.187, 0.250, 0.247)
Nd (0.813, 0.750, 0.753)
Sc (0.243, 0.750, 0.487)
Sc (0.350, 0.250, 0.891)
Sc (0.650, 0.750, 0.109)
Sc (0.757, 0.250, 0.513)
Ga (0.145, 0.750, 0.024)
Ga (0.279, 0.250, 0.644)
Ga (0.721, 0.750, 0.356)
Ga (0.855, 0.250, 0.976)

Largest 6 diffraction maxima, by angle, 2θ = 10–90°:
27.33 deg, rel. 33.9
31.11 deg, rel. 100.0
32.13 deg, rel. 76.5
32.60 deg, rel. 64.5
42.42 deg, rel. 38.5
43.32 deg, rel. 27.5

=====

Entry 4:
Starting from a structure optimized by DFT (PBE), the powder XRD pattern of K4ZnI6 was calculated for Cu Kα (λ = 1.5418 Å).

Crystal structure
Lattice parameters (Å, degrees): 9.545 9.545 16.614 109.42 109.42 55.52
Element x y z (fractional)
K (0.070, 0.470, 0.821)
K (0.136, 0.864, 0.500)
K (0.245, 0.609, 0.172)
K (0.470, 0.070, 0.321)
K (0.497, 0.781, 0.962)
K (0.609, 0.245, 0.672)
K (0.781, 0.497, 0.462)
K (0.864, 0.136, 0.000)
Zn (0.473, 0.941, 0.727)
Zn (0.941, 0.473, 0.227)
I (0.099, 0.490, 0.393)
I (0.193, 0.249, 0.134)
I (0.197, 0.721, 0.988)
I (0.249, 0.193, 0.634)
I (0.350, 0.741, 0.706)
I (0.382, 0.807, 0.369)
I (0.490, 0.099, 0.893)
I (0.721, 0.197, 0.488)
I (0.741, 0.350, 0.206)
I (0.773, 0.784, 0.679)
I (0.784, 0.773, 0.179)
I (0.807, 0.382, 0.869)

Largest 6 diffraction maxima, by angle, 2θ = 10–90°:
18.92 deg, rel. 64.2
21.25 deg, rel. 55.4
21.60 deg, rel. 63.0
22.50 deg, rel. 58.5
23.06 deg, rel. 100.0
23.78 deg, rel. 96.0

=====

Entry 5:
Starting from a structure optimized by DFT (PBE), the powder XRD pattern of La5Tb4Dy4 was calculated for Cu Kα (λ = 1.5418 Å).

Crystal structure
Lattice parameters (Å, degrees): 9.618 9.618 9.618 94.06 94.06 149.14
Element x y z (fractional)
La (0.000, 0.000, 0.000)
La (0.305, 0.539, 0.844)
La (0.461, 0.305, 0.767)
La (0.539, 0.695, 0.233)
La (0.695, 0.461, 0.156)
Tb (0.155, 0.766, 0.921)
Tb (0.234, 0.155, 0.390)
Tb (0.766, 0.845, 0.610)
Tb (0.845, 0.234, 0.079)
Dy (0.075, 0.387, 0.462)
Dy (0.387, 0.925, 0.312)
Dy (0.613, 0.075, 0.688)
Dy (0.925, 0.613, 0.538)

Largest 6 diffraction maxima, by angle, 2θ = 10–90°:
30.15 deg, rel. 100.0
34.89 deg, rel. 33.9
35.06 deg, rel. 16.8
50.30 deg, rel. 24.1
59.65 deg, rel. 28.6
59.88 deg, rel. 14.3

=====

Entry 6:
Starting from a structure optimized by DFT (PBE), the powder XRD pattern of Na4Sr2TiP4 was calculated for Cu Kα (λ = 1.5418 Å).

Crystal structure
Lattice parameters (Å, degrees): 9.394 9.394 7.426 90.29 90.29 120.37
Element x y z (fractional)
Na (0.053, 0.332, 0.480)
Na (0.068, 0.932, 0.500)
Na (0.135, 0.669, 0.815)
Na (0.327, 0.475, 0.968)
Na (0.332, 0.053, 0.980)
Na (0.475, 0.327, 0.468)
Na (0.669, 0.135, 0.315)
Na (0.932, 0.068, 0.000)
Sr (0.255, 0.732, 0.312)
Sr (0.676, 0.733, 0.316)
Sr (0.732, 0.255, 0.812)
Sr (0.733, 0.676, 0.816)
Ti (0.526, 0.861, 0.705)
Ti (0.861, 0.526, 0.205)
P (0.005, 0.814, 0.111)
P (0.006, 0.395, 0.103)
P (0.394, 0.584, 0.591)
P (0.395, 0.006, 0.603)
P (0.535, 0.862, 0.029)
P (0.584, 0.394, 0.091)
P (0.814, 0.005, 0.611)
P (0.862, 0.535, 0.529)

Largest 6 diffraction maxima, by angle, 2θ = 10–90°:
10.91 deg, rel. 100.0
16.12 deg, rel. 29.1
31.46 deg, rel. 53.1
32.60 deg, rel. 70.0
32.86 deg, rel. 37.4
38.33 deg, rel. 42.9